Simulated powder diffraction line list of BaC4 for copper Kα, from a DFT-relaxed cell (PBE, Alexandria).
Peak positions follow from Bragg's law for the DFT cell and can differ from measured ones.

Structural model:
Lattice parameters (Å, degrees): 6.1995 6.1995 4.3328 90.00 90.00 90.00
Space group I4/m (No. 87)
Asymmetric unit:
Ba 0.0000 0.0000 0.0000 (multiplicity 2)
C 0.0253 0.3974 0.5000 (multiplicity 8)

Main lines, in order of rising 2θ (10 to 80 degrees two-theta):
2θ 20.3, I 431, hkl 1 1 0; 2θ 25.1, I 1000, hkl 1 0 1; 2θ 28.8, I 558, hkl 2 0 0; 2θ 38.6, I 795, hkl 2 1 1; 2θ 51.5, I 200, hkl 2 0 2; 2θ 65.7, I 198, hkl 4 1 1

Simulated powder diffraction line list of Ba3C for copper Kα, from a DFT-relaxed cell (PBE, Alexandria).
Peak positions follow from Bragg's law for the DFT cell and can differ from measured ones.

Structural model:
Lattice parameters (Å, degrees): 3.8702 12.4915 7.5102 90.00 90.00 90.00
Space group Imm2 (No. 44)
Asymmetric unit:
Ba 0.0000 0.0000 0.0000 (multiplicity 2)
Ba 0.0000 0.1440 0.4148 (multiplicity 4)
C 0.0000 0.5000 0.7746 (multiplicity 2)

Main lines, in order of rising 2θ (10 to 80 degrees two-theta):
2θ 23.7, I 500, hkl 0 0 2; 2θ 24.1, I 661, hkl 1 1 0; 2θ 24.4, I 1000, hkl 0 3 1; 2θ 29.6, I 361, hkl 1 2 1; 2θ 34.0, I 461, hkl 1 1 2; 2θ 39.0, I 600, hkl 1 4 1

Simulated powder diffraction line list of Ba7C6 for copper Kα, from a DFT-relaxed cell (PBE, Alexandria).
Peak positions follow from Bragg's law for the DFT cell and can differ from measured ones.

Structural model:
Lattice parameters (Å, degrees): 7.8421 7.8421 23.6455 90.00 90.00 120.00
Space group R-3m (No. 166, hexagonal axes)
Asymmetric unit:
Ba 0.0000 0.0000 0.0000 (multiplicity 3)
Ba 0.0287 0.5143 0.4271 (multiplicity 18)
C 0.0000 0.0000 0.1545 (multiplicity 6)
C 0.0000 0.0000 0.3325 (multiplicity 6)
C 0.0000 0.0000 0.3865 (multiplicity 6)

Main lines, in order of rising 2θ (10 to 80 degrees two-theta):
2θ 13.6, I 1000, hkl 1 0 1; 2θ 26.5, I 709, hkl 0 2 1; 2θ 27.3, I 675, hkl 2 0 2; 2θ 32.5, I 541, hkl 2 0 5; 2θ 37.6, I 693, hkl 0 2 7; 2θ 46.3, I 559, hkl 2 2 0

Simulated powder diffraction line list of BaCa2C for copper Kα, from a DFT-relaxed cell (PBE, Alexandria).
Peak positions follow from Bragg's law for the DFT cell and can differ from measured ones.

Structural model:
Lattice parameters (Å, degrees): 7.7408 7.7408 10.9621 90.00 90.00 90.00
Space group I4_1/amd (No. 141, origin choice 2)
Asymmetric unit:
Ba 0.0000 0.2500 0.3750 (multiplicity 4)
Ca 0.0000 0.0000 0.0000 (multiplicity 8)
C 0.0000 0.2500 0.8750 (multiplicity 4)

Main lines, in order of rising 2θ (10 to 80 degrees two-theta):
2θ 23.0, I 945, hkl 2 0 0; 2θ 27.0, I 1000, hkl 2 1 1; 2θ 40.3, I 414, hkl 3 1 2; 2θ 42.9, I 376, hkl 3 2 1; 2θ 46.9, I 330, hkl 4 0 0; 2θ 65.5, I 237, hkl 5 2 1

Simulated powder diffraction line list of BaCa2C2O6F2 for copper Kα, from a DFT-relaxed cell (PBE, Alexandria).
Peak positions follow from Bragg's law for the DFT cell and can differ from measured ones.

Structural model:
Lattice parameters (Å, degrees): 12.6422 5.9518 9.5516 90.00 90.00 90.00
Space group Cmcm (No. 63)
Asymmetric unit:
Ba 0.0000 0.0017 0.2500 (multiplicity 4)
Ca 0.1464 0.5000 0.0000 (multiplicity 8)
C 0.2462 0.3428 0.7500 (multiplicity 8)
O 0.1432 0.3647 0.7500 (multiplicity 8)
O 0.2031 0.1622 0.1322 (multiplicity 16)
F 0.0000 0.2661 0.0079 (multiplicity 8)

Main lines, in order of rising 2θ (10 to 80 degrees two-theta):
2θ 16.5, I 207, hkl 1 1 0; 2θ 24.9, I 1000, hkl 1 1 2; 2θ 25.9, I 605, hkl 3 1 0; 2θ 38.4, I 433, hkl 2 2 2; 2θ 46.0, I 338, hkl 4 2 2; 2θ 46.3, I 398, hkl 3 1 4

Simulated powder diffraction line list of BaCaCO3 for copper Kα, from a DFT-relaxed cell (PBE, Alexandria).
Peak positions follow from Bragg's law for the DFT cell and can differ from measured ones.

Structural model:
Lattice parameters (Å, degrees): 5.2645 5.2645 13.3498 90.00 90.00 120.00
Space group P6_3mc (No. 186)
Asymmetric unit:
Ba 0.3333 0.6667 0.0000 (multiplicity 2)
Ca 0.3333 0.6667 0.3024 (multiplicity 2)
C 0.0000 0.0000 0.4186 (multiplicity 2)
O 0.1423 0.2846 0.4206 (multiplicity 6)

Main lines, in order of rising 2θ (10 to 80 degrees two-theta):
2θ 13.3, I 1000, hkl 0 0 2; 2θ 20.6, I 884, hkl 1 0 1; 2θ 28.0, I 852, hkl 1 0 3; 2θ 34.1, I 357, hkl 1 1 0; 2θ 40.1, I 287, hkl 2 0 1; 2θ 44.7, I 277, hkl 2 0 3

Simulated powder diffraction line list of BaNaCe2C4O12F for copper Kα, from a DFT-relaxed cell (PBE, Alexandria).
Peak positions follow from Bragg's law for the DFT cell and can differ from measured ones.

Structural model:
Lattice parameters (Å, degrees): 5.1467 5.1467 23.2163 90.00 90.00 120.00
Space group P6_3/mmc (No. 194)
Asymmetric unit:
Ba 0.0000 0.0000 0.0000 (multiplicity 2)
Na 0.3333 0.6667 0.2500 (multiplicity 2)
Ce 0.3333 0.6667 0.6471 (multiplicity 4)
C 0.0000 0.0000 0.1773 (multiplicity 4)
C 0.3333 0.6667 0.0674 (multiplicity 4)
O 0.0422 0.5211 0.0661 (multiplicity 12)
O 0.1452 0.2905 0.1761 (multiplicity 12)
F 0.3333 0.6667 0.7500 (multiplicity 2)

Main lines, in order of rising 2θ (10 to 80 degrees two-theta):
2θ 20.3, I 724, hkl 1 0 1; 2θ 23.0, I 442, hkl 0 0 6; 2θ 25.2, I 863, hkl 1 0 4; 2θ 27.7, I 1000, hkl 1 0 5; 2θ 34.9, I 772, hkl 1 1 0; 2θ 42.2, I 417, hkl 1 1 6

Simulated powder diffraction line list of Ba2CeC3O9F for copper Kα, from a DFT-relaxed cell (PBE, Alexandria).
Peak positions follow from Bragg's law for the DFT cell and can differ from measured ones.

Structural model:
Lattice parameters (Å, degrees): 6.7011 5.1611 13.3004 90.00 102.63 90.00
Space group P2_1/m (No. 11)
Asymmetric unit:
Ba 0.2146 0.2500 0.4250 (multiplicity 2)
Ba 0.2725 0.2500 0.0835 (multiplicity 2)
Ce 0.2275 0.2500 0.7383 (multiplicity 2)
C 0.2142 0.7500 0.2277 (multiplicity 2)
C 0.2545 0.7500 0.9255 (multiplicity 2)
C 0.3317 0.7500 0.6287 (multiplicity 2)
O 0.1205 0.5339 0.2378 (multiplicity 4)
O 0.1365 0.7500 0.9900 (multiplicity 2)
O 0.1920 0.7500 0.6839 (multiplicity 2)
O 0.3210 0.5316 0.8959 (multiplicity 4)
O 0.3905 0.7500 0.2032 (multiplicity 2)
O 0.4012 0.5305 0.6044 (multiplicity 4)
F 0.0130 0.7500 0.4258 (multiplicity 2)

Main lines, in order of rising 2θ (10 to 80 degrees two-theta):
2θ 22.0, I 1000, hkl 1 1 0; 2θ 26.9, I 869, hkl 0 1 3; 2θ 27.3, I 367, hkl 2 0 0; 2θ 35.2, I 332, hkl 2 1 -3; 2θ 41.5, I 287, hkl 1 2 -3; 2θ 44.7, I 343, hkl 2 2 0